No. 1
Theoretical powder diffractogram of Pm8Er5In for Cu Kα, from DFT lattice parameters and positions (GGA-PBE).
Intensities are scaled so that the largest is 100.

Principal peaks in the range 2θ from 10° to 80°, by intensity:
2theta  I_rel
32.8  100
31.3  56
30.9  53
31.5  43
31.2  31
30.1  30
24.7  27
30.8  26
33.8  16
39.4  15
31.6  13
43.7  13

```
Pm8Er5In
1.0
7.7298 -4.1909 0.0000
7.7298 4.1909 0.0000
-4.4218 0.0000 7.1892
Pm Er In
8 5 1
direct
0.0423 0.5903 0.4265
0.1233 0.1233 0.1804
0.2279 0.4185 0.7775
0.4097 0.9577 0.5735
0.5241 0.1134 0.0843
0.5815 0.7721 0.2225
0.8767 0.8767 0.8196
0.8866 0.4759 0.9157
0.2532 0.6527 0.2271
0.3473 0.7468 0.7729
0.5297 0.2715 0.5467
0.7285 0.4703 0.4533
0.9570 0.0430 0.5000
0.6580 0.3420 0.0000
```

No. 2
Theoretical powder diffractogram of Pm6Er2In for Cu Kα, from DFT lattice parameters and positions (GGA-PBE).
Intensities are scaled so that the largest is 100.

Principal peaks in the range 2θ from 10° to 80°, by intensity:
2theta  I_rel
32.3  100
32.0  86
33.3  63
33.0  40
33.1  39
27.5  38
28.5  29
65.7  25
59.0  24
44.3  23
49.8  21
47.9  20

```
Pm6Er2In
1.0
10.4190 -4.6289 0.0000
10.4190 4.6289 0.0000
-1.8833 0.0000 5.9848
Pm Er In
12 4 2
direct
0.0072 0.1504 0.4380
0.0815 0.5807 0.0808
0.1504 0.0072 0.9380
0.3484 0.4935 0.7776
0.4193 0.9185 0.4192
0.4935 0.3484 0.2776
0.5065 0.6516 0.7224
0.5807 0.0815 0.5808
0.6516 0.5065 0.2224
0.8496 0.9928 0.0620
0.9185 0.4193 0.9192
0.9928 0.8496 0.5620
0.1717 0.3278 0.4286
0.3278 0.1717 0.9286
0.6722 0.8283 0.0714
0.8283 0.6722 0.5714
0.2511 0.7489 0.2500
0.7489 0.2511 0.7500
```

No. 3
Theoretical powder diffractogram of Pm9ErIn2 for Cu Kα, from DFT lattice parameters and positions (GGA-PBE).
Intensities are scaled so that the largest is 100.

Principal peaks in the range 2θ from 10° to 80°, by intensity:
2theta  I_rel
30.9  100
36.1  33
61.7  28
51.4  24
35.4  17
60.8  14
64.4  12
52.0  12
76.6  4
74.8  2
54.8  1

```
Pm9ErIn2
1.0
4.9766 0.0000 0.0000
0.0000 4.9766 0.0000
0.0000 0.0000 15.2234
Pm Er In
9 1 2
direct
0.0000 0.0000 0.0000
0.0000 0.0000 0.3365
0.0000 0.0000 0.6635
0.0000 0.5000 0.1722
0.0000 0.5000 0.5000
0.0000 0.5000 0.8278
0.5000 0.0000 0.1722
0.5000 0.0000 0.5000
0.5000 0.0000 0.8278
0.5000 0.5000 0.0000
0.5000 0.5000 0.3386
0.5000 0.5000 0.6614
```